For Li6MgAl12, a structure optimized by DFT (GGA-PBE) gives the calculated powder diffractogram in this record (Cu Ka).
Lines closer than 0.1° are merged.

Cell and atoms:
a b c (Å): 11.7362 11.7362 8.9009
angles (deg): 90.00 90.00 120.00
Space group R-3m (No. 166, hexagonal axes)
Inequivalent atoms, fractional coordinates:
Li 0.0681 0.5340 0.2320 [18 per cell]
Mg 0.0000 0.0000 0.0000 [3 per cell]
Al 0.0000 0.3867 0.5000 [18 per cell]
Al 0.0809 0.1619 0.2748 [18 per cell]

Most intense lines, 2θ from 5° to 70°, in order of rising 2θ:
d (Å)  intensity
4.077  512
2.687  1000
2.648  428
2.256  255
2.232  366
2.065  267
2.038  172
1.849  359